Record 1
Starting from a structure optimized by DFT (GGA-PBE), the powder XRD pattern of SmGeO was calculated for Cu Kα (λ = 1.5418 Å).
Lines closer than 0.1° are merged.

Atomic structure:
```
SmGeO
1.0
1.972 1.139 8.468
-1.972 1.139 8.468
0.000 -2.277 8.468
Sm Ge O
2 2 2
Direct
0.109 0.109 0.109
0.891 0.891 0.891
0.355 0.355 0.355
0.645 0.645 0.645
0.201 0.201 0.201
0.799 0.799 0.799
```

Top 10 peaks for 2θ from 10° to 80°, most intense first:
29.69°, d 3.009, intensity 1000; 46.02°, d 1.972, intensity 440; 56.94°, d 1.617, intensity 323; 31.56°, d 2.835, intensity 288; 31.70°, d 2.823, intensity 237; 38.72°, d 2.326, intensity 216; 54.08°, d 1.696, intensity 210; 26.32°, d 3.386, intensity 194; 55.73°, d 1.649, intensity 171; 75.07°, d 1.265, intensity 141

---

Record 2
Starting from a structure optimized by DFT (GGA-PBE), the powder XRD pattern of Sm12Dy2Sc was calculated for Cu Kα (λ = 1.5418 Å).
Lines closer than 0.1° are merged.

Atomic structure:
```
Sm12Dy2Sc
1.0
3.575 -5.723 0.000
3.575 5.723 0.000
0.000 0.000 24.629
Sm Dy Sc
24 4 2
Direct
0.001 0.501 0.124
0.001 0.999 0.928
0.018 0.518 0.587
0.023 0.977 0.439
0.250 0.250 0.197
0.250 0.250 0.324
0.250 0.250 0.676
0.250 0.250 0.803
0.477 0.523 0.439
0.482 0.982 0.587
0.499 0.501 0.928
0.499 0.999 0.124
0.501 0.001 0.876
0.501 0.499 0.072
0.518 0.018 0.413
0.523 0.477 0.561
0.750 0.750 0.197
0.750 0.750 0.324
0.750 0.750 0.676
0.750 0.750 0.803
0.977 0.023 0.561
0.982 0.482 0.413
0.999 0.001 0.072
0.999 0.499 0.876
0.250 0.750 0.268
0.250 0.750 0.737
0.750 0.250 0.263
0.750 0.250 0.732
0.250 0.750 0.000
0.750 0.250 0.000
```

Top 10 peaks for 2θ from 10° to 80°, most intense first:
30.36°, d 2.944, intensity 1000; 31.26°, d 2.862, intensity 689; 33.04°, d 2.711, intensity 629; 32.93°, d 2.720, intensity 390; 36.85°, d 2.439, intensity 357; 29.81°, d 2.997, intensity 332; 28.88°, d 3.092, intensity 221; 62.20°, d 1.492, intensity 213; 61.13°, d 1.516, intensity 197; 43.09°, d 2.099, intensity 190

---

Record 3
Starting from a structure optimized by DFT (GGA-PBE), the powder XRD pattern of Li3Si3Ag2 was calculated for Cu Kα (λ = 1.5418 Å).
Lines closer than 0.1° are merged.

Atomic structure:
```
Li3Si3Ag2
1.0
6.073 0.000 0.000
0.000 6.073 0.000
0.000 0.000 6.601
Li Si Ag
6 6 4
Direct
0.000 0.000 0.000
0.000 0.500 0.500
0.250 0.750 0.250
0.500 0.000 0.500
0.500 0.500 0.000
0.750 0.250 0.750
0.250 0.250 0.250
0.250 0.250 0.750
0.250 0.750 0.750
0.750 0.250 0.250
0.750 0.750 0.250
0.750 0.750 0.750
0.000 0.000 0.500
0.000 0.500 0.000
0.500 0.000 0.000
0.500 0.500 0.500
```

Top 10 peaks for 2θ from 10° to 80°, most intense first:
24.73°, d 3.600, intensity 1000; 40.36°, d 2.235, intensity 617; 49.42°, d 1.844, intensity 290; 42.08°, d 2.147, intensity 273; 75.74°, d 1.256, intensity 182; 46.37°, d 1.958, intensity 177; 29.41°, d 3.037, intensity 143; 64.39°, d 1.447, intensity 125; 72.20°, d 1.308, intensity 104; 27.02°, d 3.300, intensity 88

---

Record 4
Starting from a structure optimized by DFT (GGA-PBE), the powder XRD pattern of Er2ThTe3 was calculated for Cu Kα (λ = 1.5418 Å).
Lines closer than 0.1° are merged.

Atomic structure:
```
Er2ThTe3
1.0
4.198 0.000 0.000
0.000 6.195 0.000
0.000 0.000 13.642
Er Th Te
4 2 6
Direct
0.000 0.000 0.157
0.000 0.000 0.843
0.500 0.500 0.343
0.500 0.500 0.657
0.000 0.000 0.500
0.500 0.500 0.000
0.000 0.500 0.179
0.000 0.500 0.500
0.000 0.500 0.821
0.500 0.000 0.000
0.500 0.000 0.321
0.500 0.000 0.679
```

Top 10 peaks for 2θ from 10° to 80°, most intense first:
28.95°, d 3.084, intensity 1000; 41.31°, d 2.186, intensity 770; 28.82°, d 3.098, intensity 554; 49.74°, d 1.833, intensity 209; 39.64°, d 2.274, intensity 200; 52.68°, d 1.738, intensity 195; 67.69°, d 1.384, intensity 179; 43.10°, d 2.099, intensity 175; 67.89°, d 1.381, intensity 165; 73.06°, d 1.295, intensity 126

---

Question: What is the formula in the third record?
Answer: Li3Si3Ag2